For KMg2VBr8, a DFT-relaxed cell (GGA-PBE, Alexandria) gives the theoretical PXRD pattern in this record (CuKα).
No peak broadening, texture or thermal motion is included.

Crystal structure
Cell: 6.6323 6.6323 9.1669 Å, 78.75 78.50 76.49°
Space group P-1 (No. 2)
Asymmetric unit:
K  0.0000  0.0000  0.0000 [1 per cell]
Mg  0.4411  0.4426  0.2258 [2 per cell]
V  0.0000  0.0000  0.5000 [1 per cell]
Br  0.1879  0.7480  0.7087 [2 per cell]
Br  0.2417  0.2495  0.4775 [2 per cell]
Br  0.2580  0.8166  0.2896 [2 per cell]
Br  0.3241  0.3331  0.0104 [2 per cell]

Most intense lines, 10 to 90 degrees two-theta, by angle:
- hkl 0 1 1, d = 5.612 Å, 15.8 deg, I = 75
- hkl 1 1 2, d = 3.844 Å, 23.1 deg, I = 59
- hkl 2 0 0, d = 3.183 Å, 28.0 deg, I = 99
- hkl 0 2 1, d = 3.160 Å, 28.2 deg, I = 53
- hkl 1 -1 2, d = 3.019 Å, 29.6 deg, I = 99
- hkl -1 1 2, d = 3.008 Å, 29.7 deg, I = 100
- hkl 1 1 -2, d = 2.980 Å, 30.0 deg, I = 74
- hkl 2 2 1, d = 2.603 Å, 34.5 deg, I = 40
- hkl 2 -2 0, d = 2.053 Å, 44.1 deg, I = 41
- hkl 1 3 3, d = 1.948 Å, 46.6 deg, I = 54